Starting from a cell relaxed with GGA-PBE, the powder diffractogram of Dy2Lu2B3C4 was simulated for a wavelength of 1.5418 Å.

Lattice parameters (Å, degrees): 3.4646 3.5623 11.8285 92.77 96.95 90.11
Fractional coordinates of all 11 atoms:
Dy1 0.1958 0.4774 0.3499
Dy2 0.8042 0.5226 0.6501
Lu1 0.3944 0.0522 0.8592
Lu2 0.6056 0.9478 0.1408
B1 0.0000 0.5000 0.0000
B2 0.2479 0.0063 0.5414
B3 0.7521 0.9937 0.4586
C1 0.0998 0.4401 0.1221
C2 0.3108 0.0260 0.6693
C3 0.6892 0.9740 0.3307
C4 0.9002 0.5599 0.8779

Largest 10 diffraction maxima, in order of falling intensity, 2θ from 10° to 80°:
two_theta, d (Å), I (rel.)
30.49, 2.932, 100
33.21, 2.698, 84
36.60, 2.455, 65
31.72, 2.821, 62
26.53, 3.359, 60
28.45, 3.137, 60
34.92, 2.569, 59
36.48, 2.463, 47
25.83, 3.449, 46
36.35, 2.471, 41



Starting from a cell relaxed with GGA-PBE, the powder diffractogram of Dy3Ni4B4C3 was simulated for a wavelength of 1.5418 Å.

Lattice parameters (Å, degrees): 12.9523 12.9523 12.9523 164.13 164.13 22.51
Fractional coordinates of all 14 atoms:
Dy1 0.0000 0.0000 0.0000
Dy2 0.2994 0.2994 0.0000
Dy3 0.7006 0.7006 0.0000
Ni1 0.1005 0.6005 0.5000
Ni2 0.3995 0.8995 0.5000
Ni3 0.6005 0.1005 0.5000
Ni4 0.8995 0.3995 0.5000
B1 0.1447 0.1447 0.0000
B2 0.4413 0.4413 0.0000
B3 0.5587 0.5587 0.0000
B4 0.8553 0.8553 0.0000
C1 0.2036 0.2036 0.0000
C2 0.5000 0.5000 0.0000
C3 0.7964 0.7964 0.0000

Largest 10 diffraction maxima, in order of falling intensity, 2θ from 10° to 80°:
two_theta, d (Å), I (rel.)
35.28, 2.544, 100
27.07, 3.294, 82
38.32, 2.349, 58
63.63, 1.462, 51
41.61, 2.171, 44
51.10, 1.788, 34
58.77, 1.571, 21
63.06, 1.474, 16
53.43, 1.715, 15
35.51, 2.528, 12



Starting from a cell relaxed with GGA-PBE, the powder diffractogram of SmDyNi2B2C2 was simulated for a wavelength of 1.5418 Å.

Lattice parameters (Å, degrees): 3.6346 3.6346 7.5436 90.00 90.00 90.00
Fractional coordinates of all 8 atoms:
Sm1 0.0000 0.0000 0.0000
Dy1 0.5000 0.5000 0.6619
Ni1 0.0000 0.5000 0.3316
Ni2 0.5000 0.0000 0.3316
B1 0.0000 0.0000 0.4722
B2 0.5000 0.5000 0.1853
C1 0.0000 0.0000 0.6700
C2 0.5000 0.5000 0.9869

Largest 10 diffraction maxima, in order of falling intensity, 2θ from 10° to 80°:
two_theta, d (Å), I (rel.)
27.24, 3.274, 100
34.26, 2.617, 66
36.95, 2.433, 64
42.57, 2.124, 50
35.71, 2.515, 44
50.20, 1.817, 37
63.12, 1.473, 32
58.05, 1.589, 26
62.19, 1.493, 24
34.91, 2.570, 22



Starting from a cell relaxed with GGA-PBE, the powder diffractogram of TbDy2Ni2B2C3 was simulated for a wavelength of 1.5418 Å.

Lattice parameters (Å, degrees): 10.4995 10.4995 10.4995 160.32 160.32 27.97
Fractional coordinates of all 10 atoms:
Tb1 0.0000 0.0000 0.0000
Dy1 0.3766 0.3766 0.0000
Dy2 0.6234 0.6234 0.0000
Ni1 0.2500 0.7500 0.5000
Ni2 0.7500 0.2500 0.5000
B1 0.1967 0.1967 0.0000
B2 0.8033 0.8033 0.0000
C1 0.1238 0.1238 0.0000
C2 0.5000 0.5000 0.0000
C3 0.8762 0.8762 0.0000

Largest 10 diffraction maxima, in order of falling intensity, 2θ from 10° to 80°:
two_theta, d (Å), I (rel.)
28.13, 3.173, 100
33.27, 2.693, 86
35.24, 2.547, 49
36.50, 2.462, 39
35.38, 2.537, 38
50.90, 1.794, 36
63.42, 1.467, 34
39.69, 2.271, 32
62.17, 1.493, 29
59.16, 1.562, 27



Starting from a cell relaxed with GGA-PBE, the powder diffractogram of DyTmNi2B2C2 was simulated for a wavelength of 1.5418 Å.

Lattice parameters (Å, degrees): 3.5612 3.5612 7.5285 90.00 90.00 90.00
Fractional coordinates of all 8 atoms:
Dy1 0.0000 0.0000 0.0000
Tm1 0.5000 0.5000 0.6701
Ni1 0.0000 0.5000 0.3353
Ni2 0.5000 0.0000 0.3353
B1 0.0000 0.0000 0.4813
B2 0.5000 0.5000 0.1874
C1 0.0000 0.0000 0.6797
C2 0.5000 0.5000 0.9884

Largest 10 diffraction maxima, in order of falling intensity, 2θ from 10° to 80°:
two_theta, d (Å), I (rel.)
27.71, 3.219, 100
34.68, 2.587, 72
37.67, 2.388, 65
51.34, 1.780, 48
35.78, 2.510, 45
43.23, 2.093, 44
64.13, 1.452, 32
59.31, 1.558, 26
63.42, 1.467, 26
35.65, 2.518, 23



Starting from a cell relaxed with GGA-PBE, the powder diffractogram of DyYNi2B2C2 was simulated for a wavelength of 1.5418 Å.

Lattice parameters (Å, degrees): 3.5910 3.5910 7.5658 90.00 90.00 90.00
Fractional coordinates of all 8 atoms:
Dy1 0.0000 0.0000 0.0000
Y1 0.5000 0.5000 0.3318
Ni1 0.0000 0.5000 0.6661
Ni2 0.5000 0.0000 0.6661
B1 0.0000 0.0000 0.5192
B2 0.5000 0.5000 0.8128
C1 0.0000 0.0000 0.3213
C2 0.5000 0.5000 0.0101

Largest 10 diffraction maxima, in order of falling intensity, 2θ from 10° to 80°:
two_theta, d (Å), I (rel.)
27.49, 3.244, 100
37.36, 2.407, 90
34.44, 2.604, 75
42.90, 2.108, 64
35.60, 2.522, 55
50.85, 1.796, 44
63.61, 1.463, 38
62.87, 1.478, 26
58.78, 1.571, 26
61.09, 1.517, 24



Starting from a cell relaxed with GGA-PBE, the powder diffractogram of Dy2Tm2B3C4 was simulated for a wavelength of 1.5418 Å.

Lattice parameters (Å, degrees): 3.4807 3.5797 11.8577 92.72 97.01 90.12
Fractional coordinates of all 11 atoms:
Dy1 0.1958 0.4775 0.3500
Dy2 0.8042 0.5225 0.6500
Tm1 0.3948 0.0521 0.8599
Tm2 0.6052 0.9479 0.1401
B1 0.0000 0.5000 0.0000
B2 0.2474 0.0063 0.5412
B3 0.7526 0.9937 0.4588
C1 0.0993 0.4406 0.1220
C2 0.3107 0.0259 0.6688
C3 0.6893 0.9741 0.3312
C4 0.9007 0.5594 0.8780

Largest 10 diffraction maxima, in order of falling intensity, 2θ from 10° to 80°:
two_theta, d (Å), I (rel.)
30.42, 2.939, 100
33.09, 2.707, 83
36.41, 2.468, 65
31.61, 2.831, 61
28.32, 3.151, 61
26.40, 3.376, 60
34.77, 2.580, 58
51.07, 1.788, 48
36.30, 2.475, 46
25.71, 3.465, 46



Starting from a cell relaxed with GGA-PBE, the powder diffractogram of Er2B4C was simulated for a wavelength of 1.5418 Å.

Lattice parameters (Å, degrees): 5.2183 5.2183 5.2183 143.73 102.15 89.04
Fractional coordinates of all 7 atoms:
Er1 0.2342 0.2342 0.0000
Er2 0.7658 0.7658 0.0000
B1 0.2283 0.5000 0.7283
B2 0.3655 0.0000 0.3655
B3 0.6345 0.0000 0.6345
B4 0.7717 0.5000 0.2717
C1 0.0000 0.5000 0.5000

Largest 10 diffraction maxima, in order of falling intensity, 2θ from 10° to 80°:
two_theta, d (Å), I (rel.)
39.30, 2.292, 100
30.72, 2.911, 75
27.20, 3.279, 57
23.92, 3.721, 57
36.53, 2.460, 56
56.45, 1.630, 29
50.32, 1.813, 24
58.92, 1.567, 21
69.33, 1.355, 17
72.84, 1.299, 13



Starting from a cell relaxed with GGA-PBE, the powder diffractogram of HoErB4C was simulated for a wavelength of 1.5418 Å.

Lattice parameters (Å, degrees): 5.2303 5.2303 5.2303 143.76 102.33 88.85
Fractional coordinates of all 7 atoms:
Ho1 0.0000 0.0000 0.0000
Er1 0.5314 0.5314 0.0000
B1 0.1315 0.7661 0.3655
B2 0.4006 0.7661 0.6345
B3 0.5376 0.2658 0.2719
B4 0.9939 0.2658 0.7281
C1 0.7650 0.2650 0.5000

Largest 10 diffraction maxima, in order of falling intensity, 2θ from 10° to 80°:
two_theta, d (Å), I (rel.)
39.21, 2.298, 100
30.67, 2.915, 75
27.19, 3.280, 57
23.82, 3.735, 57
36.46, 2.465, 56
56.36, 1.632, 29
50.27, 1.815, 23
58.71, 1.572, 21
69.20, 1.358, 19
72.64, 1.302, 13



Starting from a cell relaxed with GGA-PBE, the powder diffractogram of Er2Lu2B3C4 was simulated for a wavelength of 1.5418 Å.

Lattice parameters (Å, degrees): 3.4382 3.5374 11.7800 92.86 96.54 90.13
Fractional coordinates of all 11 atoms:
Er1 0.1946 0.4768 0.3495
Er2 0.8054 0.5232 0.6505
Lu1 0.3933 0.0540 0.8591
Lu2 0.6067 0.9460 0.1409
B1 0.0000 0.5000 0.0000
B2 0.2607 0.0060 0.5408
B3 0.7393 0.9940 0.4592
C1 0.1028 0.4372 0.1221
C2 0.3126 0.0264 0.6694
C3 0.6874 0.9736 0.3306
C4 0.8972 0.5628 0.8779

Largest 10 diffraction maxima, in order of falling intensity, 2θ from 10° to 80°:
two_theta, d (Å), I (rel.)
30.59, 2.922, 100
36.70, 2.449, 87
33.36, 2.686, 85
36.91, 2.435, 84
31.82, 2.812, 62
28.73, 3.108, 62
26.73, 3.335, 60
35.14, 2.554, 59
38.18, 2.357, 40
25.98, 3.430, 37



Starting from a cell relaxed with GGA-PBE, the powder diffractogram of Er3Ni4B4C3 was simulated for a wavelength of 1.5418 Å.

Lattice parameters (Å, degrees): 12.9702 12.9702 12.9702 164.31 164.31 22.25
Fractional coordinates of all 14 atoms:
Er1 0.0000 0.0000 0.0000
Er2 0.2986 0.2986 0.0000
Er3 0.7014 0.7014 0.0000
Ni1 0.1009 0.6009 0.5000
Ni2 0.3991 0.8991 0.5000
Ni3 0.6009 0.1009 0.5000
Ni4 0.8991 0.3991 0.5000
B1 0.1458 0.1458 0.0000
B2 0.4414 0.4414 0.0000
B3 0.5586 0.5586 0.0000
B4 0.8542 0.8542 0.0000
C1 0.2045 0.2045 0.0000
C2 0.5000 0.5000 0.0000
C3 0.7955 0.7955 0.0000

Largest 10 diffraction maxima, in order of falling intensity, 2θ from 10° to 80°:
two_theta, d (Å), I (rel.)
27.30, 3.267, 100
35.39, 2.536, 72
38.65, 2.329, 72
64.12, 1.452, 62
35.26, 2.545, 53
41.91, 2.156, 51
51.64, 1.770, 40
59.39, 1.556, 25
63.21, 1.471, 21
53.48, 1.713, 18



Starting from a cell relaxed with GGA-PBE, the powder diffractogram of TbErNi2B2C2 was simulated for a wavelength of 1.5418 Å.

Lattice parameters (Å, degrees): 3.5814 3.5814 7.5377 90.00 90.00 90.00
Fractional coordinates of all 8 atoms:
Tb1 0.0000 0.0000 0.0000
Er1 0.5000 0.5000 0.6683
Ni1 0.0000 0.5000 0.3342
Ni2 0.5000 0.0000 0.3342
B1 0.0000 0.0000 0.4793
B2 0.5000 0.5000 0.1864
C1 0.0000 0.0000 0.6775
C2 0.5000 0.5000 0.9879

Largest 10 diffraction maxima, in order of falling intensity, 2θ from 10° to 80°:
two_theta, d (Å), I (rel.)
27.57, 3.235, 100
34.55, 2.596, 71
37.46, 2.401, 65
43.03, 2.102, 45
35.74, 2.513, 45
51.00, 1.791, 36
63.83, 1.458, 32
58.95, 1.567, 26
63.07, 1.474, 25
35.45, 2.532, 23



Starting from a cell relaxed with GGA-PBE, the powder diffractogram of Er2Tm2B3C4 was simulated for a wavelength of 1.5418 Å.

Lattice parameters (Å, degrees): 3.4578 3.5523 11.8307 92.71 96.96 90.12
Fractional coordinates of all 11 atoms:
Er1 0.1957 0.4775 0.3499
Er2 0.8043 0.5225 0.6501
Tm1 0.3948 0.0520 0.8597
Tm2 0.6052 0.9480 0.1403
B1 0.0000 0.5000 0.0000
B2 0.2478 0.0062 0.5410
B3 0.7522 0.9938 0.4590
C1 0.0995 0.4404 0.1222
C2 0.3108 0.0259 0.6689
C3 0.6892 0.9741 0.3311
C4 0.9005 0.5596 0.8778

Largest 10 diffraction maxima, in order of falling intensity, 2θ from 10° to 80°:
two_theta, d (Å), I (rel.)
30.48, 2.933, 100
33.28, 2.693, 83
36.68, 2.450, 64
28.49, 3.133, 62
31.77, 2.817, 61
26.59, 3.352, 59
34.95, 2.567, 59
36.57, 2.457, 46
25.90, 3.441, 46
36.45, 2.465, 40



Starting from a cell relaxed with GGA-PBE, the powder diffractogram of YErB4C was simulated for a wavelength of 1.5418 Å.

Lattice parameters (Å, degrees): 5.2437 5.2437 5.2437 143.70 102.47 88.75
Fractional coordinates of all 7 atoms:
Y1 0.0000 0.0000 0.0000
Er1 0.4693 0.4693 0.0000
B1 0.0065 0.7339 0.2726
B2 0.4614 0.7339 0.7274
B3 0.5981 0.2326 0.3654
B4 0.8672 0.2326 0.6346
C1 0.2373 0.7373 0.5000

Largest 10 diffraction maxima, in order of falling intensity, 2θ from 10° to 80°:
two_theta, d (Å), I (rel.)
39.06, 2.306, 100
30.56, 2.925, 69
27.16, 3.283, 54
36.38, 2.470, 54
23.74, 3.748, 50
56.25, 1.635, 37
17.96, 4.939, 28
50.17, 1.818, 23
58.49, 1.578, 20
68.92, 1.362, 19